For CuAgSnHgS4, the GGA-PBE geometry in OQMD gives the simulated PXRD pattern in this record (a wavelength of 1.5418 Å).
Lines closer than 0.1° are merged.

Cell and atoms:
Cell: 6.9528 6.9528 6.9528 Å, 130.81 130.81 72.11°
Atoms (fractional coordinates):
Cu: 0.0000 0.0000 0.0000
Ag: 0.5000 0.5000 0.0000
Sn: 0.7500 0.2500 0.5000
Hg: 0.2500 0.7500 0.5000
S: 0.1039 0.6406 0.9777
S: 0.3594 0.3371 0.4633
S: 0.6629 0.1261 0.0223
S: 0.8739 0.8961 0.5367

The 10 most intense peaks (10 to 90 degrees two-theta), by intensity:
2θ/deg, I_rel
26.95, 1000
44.96, 359
52.59, 309
44.27, 187
30.90, 181
53.81, 145
72.15, 120
81.97, 118
31.84, 83
55.56, 76